Structure and calculated PXRD pattern of Nd5WN6 (a structure optimized by DFT (GGA-PBE); λ = 1.5418 Å (Cu Kα)).
Neutral-atom scattering factors, no anomalous dispersion.

Structural model:
a = 6.108 Å, b = 10.559 Å, c = 6.084 Å
α = 90.00°, β = 109.35°, γ = 90.00°
Space group C2/m (No. 12)
Unique sites:
Nd  0.000  0.000  0.000 x2
Nd  0.000  0.167  0.500 x4
Nd  0.000  0.335  0.000 x4
W  0.000  0.500  0.500 x2
N  0.218  0.355  0.718 x8
N  0.220  0.500  0.269 x4

Largest 10 diffraction maxima, sorted by position, 10 to 80 degrees two-theta:
- (2 0 0), 31.10°, I 100
- (0 0 2), 31.16°, I 33
- (2 0 -2), 36.08°, I 94
- (3 3 -1), 51.90°, I 43
- (1 3 -3), 52.04°, I 21
- (3 3 1), 61.72°, I 26
- (1 3 3), 61.84°, I 30
- (4 0 0), 64.70°, I 5
- (0 0 4), 64.94°, I 16
- (2 6 2), 76.50°, I 7